# KMg2As2H31O23
Simulated X-ray diffraction stick pattern, CuKα. Input: a DFT-relaxed cell (GGA-PBE, the Materials Project).

Structure:
```
59
Lattice="6.4585 0.0000 0.0000 0.1879 6.6811 0.0000 1.4033 0.7135 12.8050" Properties=species:S:1:pos:R:3 pbc="T T T"
K 0.0000 0.0000 0.0000
Mg 1.1142 1.0765 9.2340
Mg 3.7015 0.7187 2.7767
As 3.8981 4.2568 11.6924
As 5.0469 4.6942 6.7071
H 1.1966 3.2905 7.6104
H 0.8480 0.7909 4.5142
H 1.3070 5.7105 7.4136
H 1.1701 4.2380 5.2485
H 1.9818 5.5028 3.7327
H 1.9379 5.9417 2.2183
H 2.7052 3.1042 8.0931
H 2.1833 2.9803 3.2003
H 2.8140 6.3319 7.4545
H 2.7637 4.1520 4.9909
H 3.5370 1.5222 10.6353
H 3.6541 6.6531 10.1904
H 2.7789 3.1540 1.7227
H 3.3920 5.8938 0.4475
H 3.2142 0.8163 0.0075
H 4.4577 4.3657 9.0071
H 4.0138 2.2244 5.0999
H 4.0346 0.6544 5.5689
H 4.7302 4.9765 3.9651
H 5.2211 2.1848 8.3689
H 5.1738 0.6632 7.8632
H 4.7688 4.0542 0.6730
H 6.0698 2.5656 11.0426
H 6.0910 5.7765 10.4189
H 5.3463 5.0346 2.5062
H 5.6051 2.4544 1.7940
H 5.9617 1.4829 4.9174
H 6.1738 1.5515 2.9741
H 6.3446 3.8400 0.3084
H 7.5992 3.1647 11.0675
H 7.6351 5.4486 10.7362
O 2.1730 4.3573 11.7404
O 1.8137 2.6838 8.0990
O 1.9119 6.3592 7.8683
O 1.8699 4.2509 4.5340
O 2.0901 6.3190 3.1011
O 2.9240 0.8063 10.2937
O 2.6239 2.4963 2.4559
O 3.1187 4.2416 0.3466
O 4.4376 2.6214 11.5666
O 4.5012 5.1371 10.3248
O 3.3647 0.1575 0.7556
O 4.4069 3.7960 8.1278
O 3.9924 1.2789 4.7810
O 4.4853 6.3080 6.8643
O 4.3367 3.9330 5.3486
O 4.9529 5.5982 3.2156
O 5.6781 1.3123 8.4354
O 5.5693 1.5245 2.1628
O 5.6953 4.0034 1.0686
O 7.0061 6.1781 10.4905
O 7.0302 2.3814 10.8191
O 6.7439 4.5390 6.7164
O 6.8320 1.6419 4.4925
```

The 12 most intense peaks (10 to 80 degrees two-theta), most intense first:
- 2θ 19.42, 4.571 Å, I 100
- 2θ 19.75, 4.496 Å, I 71
- 2θ 13.81, 6.413 Å, I 49
- 2θ 27.94, 3.194 Å, I 45
- 2θ 23.76, 3.744 Å, I 40
- 2θ 16.10, 5.506 Å, I 33
- 2θ 29.44, 3.034 Å, I 32
- 2θ 30.29, 2.951 Å, I 28
- 2θ 20.62, 4.308 Å, I 28
- 2θ 20.82, 4.267 Å, I 28
- 2θ 26.73, 3.335 Å, I 28
- 2θ 18.67, 4.753 Å, I 27